The following is a theoretical powder X-ray diffraction pattern of LiPmY2Tl4. It was derived from a GGA-PBE-relaxed structure, using Cu Kα.
Neutral-atom scattering factors, no anomalous dispersion.

Most intense lines, 2θ = 10–90°, sorted by position:
hkl 1 0 4, 23.6 deg, intensity 39; hkl 0 1 8, 33.2 deg, intensity 100; hkl 1 1 0, 34.0 deg, intensity 96; hkl 2 0 8, 48.3 deg, intensity 35; hkl 1 0 16, 58.8 deg, intensity 18; hkl 1 2 8, 60.4 deg, intensity 36; hkl 3 0 0, 60.9 deg, intensity 18; hkl 2 2 0, 71.6 deg, intensity 11; hkl 2 1 16, 79.9 deg, intensity 15; hkl 3 1 8, 81.3 deg, intensity 16

Crystal structure
```
data_LiPmY2Tl4
_space_group_name_H-M_alt 'R -3 m'
_space_group_IT_number 166
_space_group_name_Hall '-R 3 2"'
_cell_length_a 5.2706
_cell_length_b 5.2706
_cell_length_c 26.7392
_cell_angle_alpha 90.00
_cell_angle_beta 90.00
_cell_angle_gamma 120.00
loop_
_atom_site_label
_atom_site_fract_x
_atom_site_fract_y
_atom_site_fract_z
_atom_site_occupancy
Li1 0.0000 0.0000 0.0000 1
Pm1 0.0000 0.0000 0.5000 1
Y1 0.0000 0.0000 0.2550 1
Tl1 0.0000 0.0000 0.1219 1
Tl2 0.0000 0.0000 0.3723 1
```